The following is a theoretical powder diffraction line list of MgCo5O8. It was derived from a DFT-relaxed cell (PBE+U, the Materials Project), using Cu Kα.
Neutral-atom scattering factors, no anomalous dispersion.

Largest 10 diffraction maxima, low angle first, 2θ from 10° to 90°:
d 4.796, 18.5°, intensity 37, hkl 1 0 0; d 2.937, 30.4°, intensity 19, hkl 1 1 -1; d 2.505, 35.9°, intensity 100, hkl 2 -1 1; d 2.398, 37.5°, intensity 15, hkl 0 0 2; d 2.077, 43.6°, intensity 31, hkl 2 0 -2; d 1.600, 57.6°, intensity 17, hkl 1 -3 0; d 1.598, 57.7°, intensity 20, hkl 2 1 -3; d 1.469, 63.3°, intensity 38, hkl 2 -4 2; d 1.467, 63.4°, intensity 7, hkl 4 -2 0; d 1.266, 75.0°, intensity 7, hkl 3 1 0

Crystal structure
Lattice parameters (Å, degrees): 5.8661 5.8721 5.8755 119.94 90.02 119.95
Space group P1 (No. 1)
Asymmetric unit:
1 Mg 0.0000 0.0000 0.0000
2 Co 0.1287 0.7600 0.3897
3 Co 0.2601 0.5197 0.7797
4 Co 0.6298 0.7581 0.3897
5 Co 0.6310 0.2616 0.8925
6 Co 0.6316 0.2611 0.3897
7 O 0.3664 0.2166 0.6461
8 O 0.3985 0.7970 0.1950
9 O 0.4119 0.2429 0.1361
10 O 0.4297 0.7962 0.6468
11 O 0.8306 0.7238 0.1354
12 O 0.8505 0.2791 0.6462
13 O 0.8617 0.7227 0.5849
14 O 0.8939 0.3054 0.1363

The following is a theoretical powder diffraction line list of MgCo5O8. It was derived from a DFT-relaxed cell (PBE+U, the Materials Project), using Cu Kα.
Neutral-atom scattering factors, no anomalous dispersion.

Largest 10 diffraction maxima, low angle first, 2θ from 10° to 90°:
d 5.910, 15.0°, intensity 81, hkl 0 0 1; d 4.850, 18.3°, intensity 33, hkl 1 1 0; d 4.824, 18.4°, intensity 100, hkl 1 1 -1; d 3.768, 23.6°, intensity 31, hkl 2 0 -2; d 2.826, 31.7°, intensity 31, hkl 3 1 -2; d 2.773, 32.3°, intensity 44, hkl 0 2 1; d 2.651, 33.8°, intensity 40, hkl 2 2 -1; d 2.552, 35.2°, intensity 45, hkl 2 0 1; d 2.473, 36.3°, intensity 22, hkl 4 0 -2; d 2.152, 42.0°, intensity 70, hkl 0 2 2

Crystal structure
Lattice parameters (Å, degrees): 9.8936 6.2788 7.6560 90.00 129.47 90.00
Space group Cm (No. 8)
Asymmetric unit:
1 Mg 0.0000 0.0000 0.0000
2 Co 0.1057 0.0000 0.7054
3 Co 0.2452 0.2624 0.4804
4 Co 0.3779 0.5000 0.2707
5 Co 0.4452 0.0000 0.1410
6 O 0.1631 0.5000 0.2271
7 O 0.2059 0.0000 0.0053
8 O 0.2489 0.0000 0.6181
9 O 0.3003 0.5000 0.6746
10 O 0.4534 0.2723 0.5241
11 O 0.4861 0.2938 0.1896

The following is a theoretical powder diffraction line list of MgCo2O4. It was derived from a DFT-relaxed cell (PBE+U, the Materials Project), using Cu Kα.
Neutral-atom scattering factors, no anomalous dispersion.

Largest 10 diffraction maxima, low angle first, 2θ from 10° to 90°:
d 4.882, 18.2°, intensity 100, hkl 1 0 1; d 2.604, 34.4°, intensity 45, hkl 1 0 3; d 2.524, 35.6°, intensity 88, hkl 2 1 1; d 2.441, 36.8°, intensity 23, hkl 2 0 2; d 2.177, 41.5°, intensity 28, hkl 0 0 4; d 2.085, 43.4°, intensity 49, hkl 2 2 0; d 1.670, 55.0°, intensity 16, hkl 1 0 5; d 1.607, 57.3°, intensity 27, hkl 3 2 1; d 1.505, 61.6°, intensity 51, hkl 2 2 4; d 1.474, 63.1°, intensity 23, hkl 4 0 0

Crystal structure
Lattice parameters (Å, degrees): 5.8960 5.8960 8.7060 90.00 90.00 90.00
Space group I4_1/a (No. 88, origin choice 2)
Asymmetric unit:
1 Mg 0.0000 0.2500 0.1250
2 Co 0.0000 0.0000 0.5000
3 O 0.0146 0.4814 0.7380

The following is a theoretical powder diffraction line list of MgCo2O4. It was derived from a DFT-relaxed cell (PBE+U, the Materials Project), using Cu Kα.
Neutral-atom scattering factors, no anomalous dispersion.

Largest 10 diffraction maxima, low angle first, 2θ from 10° to 90°:
d 4.876, 18.2°, intensity 56, hkl 0 0 3; d 2.986, 29.9°, intensity 14, hkl 0 1 4; d 2.547, 35.2°, intensity 100, hkl 2 0 1; d 2.439, 36.9°, intensity 14, hkl 0 2 2; d 2.112, 42.8°, intensity 48, hkl 2 0 4; d 1.626, 56.6°, intensity 36, hkl 2 0 7; d 1.495, 62.1°, intensity 27, hkl 2 2 0; d 1.492, 62.2°, intensity 27, hkl 0 2 8; d 1.289, 73.5°, intensity 8, hkl 0 4 1; d 1.100, 89.0°, intensity 10, hkl 0 4 7

Crystal structure
Lattice parameters (Å, degrees): 5.9781 5.9781 14.6067 90.00 90.00 120.00
Space group P3m1 (No. 156)
Asymmetric unit:
1 Mg 0.0000 0.0000 0.0000
2 Mg 0.0000 0.0000 0.2460
3 Mg 0.3333 0.6667 0.5811
4 Mg 0.6667 0.3333 0.2890
5 Mg 0.6667 0.3333 0.6653
6 Mg 0.6667 0.3333 0.9144
7 Co 0.0000 0.0000 0.6233
8 Co 0.1666 0.3331 0.7902
9 Co 0.3323 0.1661 0.4569
10 Co 0.3333 0.6667 0.3347
11 Co 0.3333 0.6667 0.9571
12 Co 0.5013 0.0026 0.1238
13 O 0.0000 0.0000 0.3821
14 O 0.0000 0.0000 0.8645
15 O 0.0246 0.5123 0.8676
16 O 0.1522 0.3044 0.5388
17 O 0.1822 0.3643 0.0433
18 O 0.3081 0.1540 0.7115
19 O 0.3333 0.6667 0.1994
20 O 0.3333 0.6667 0.7162
21 O 0.3553 0.1776 0.1966
22 O 0.5092 0.0184 0.3812
23 O 0.6667 0.3333 0.0489
24 O 0.6667 0.3333 0.5306